Computed X-ray diffraction stick pattern of Nb2Te6Ir for Cu Kα X-rays, from a PBE-relaxed structure.

Crystal structure
Cell lengths 15.3428, 3.6367, 9.1391 Å; angles 90.00, 104.44, 90.00 degrees
Space group C2/m (No. 12)
Asymmetric unit:
Nb (0.1846, 0.0000, 0.3799)
Te (0.0014, 0.0000, 0.7886)
Te (0.1294, 0.5000, 0.5723)
Te (0.1775, 0.5000, 0.1313)
Ir (0.0000, 0.5000, 0.0000)

Top 10 peaks for 2θ = 10–90°, in order of rising 2θ:
Position (°2θ)  I (rel.)
13.52  51
28.28  34
31.45  100
36.28  23
38.47  16
39.49  16
40.03  15
46.80  22
49.56  19
50.17  16